The following is a theoretical XRD peak list of Ba8EuB6N12. It was derived from a DFT-relaxed cell (GGA-PBE, Alexandria), using Cu Ka.

Atomic structure:
Unit cell a=8.026 b=8.026 c=8.026 alpha=90.00 beta=90.00 gamma=90.00
Positions (direct):
Ba (0.238, 0.238, 0.238)
Ba (0.238, 0.238, 0.762)
Ba (0.238, 0.762, 0.238)
Ba (0.238, 0.762, 0.762)
Ba (0.762, 0.238, 0.238)
Ba (0.762, 0.238, 0.762)
Ba (0.762, 0.762, 0.238)
Ba (0.762, 0.762, 0.762)
Eu (0.500, 0.500, 0.500)
B (0.000, 0.000, 0.500)
B (0.000, 0.500, 0.000)
B (0.000, 0.500, 0.500)
B (0.500, 0.000, 0.000)
B (0.500, 0.000, 0.500)
B (0.500, 0.500, 0.000)
N (0.000, 0.000, 0.332)
N (0.000, 0.000, 0.668)
N (0.000, 0.332, 0.000)
N (0.000, 0.668, 0.000)
N (0.170, 0.500, 0.500)
N (0.332, 0.000, 0.000)
N (0.500, 0.170, 0.500)
N (0.500, 0.500, 0.170)
N (0.500, 0.500, 0.830)
N (0.500, 0.830, 0.500)
N (0.668, 0.000, 0.000)
N (0.830, 0.500, 0.500)

Principal peaks in the range 10 to 80 degrees two-theta, sorted by position:
2θ (°)  I (rel.)
22.2  44
24.8  13
31.5  100
38.9  20
45.2  20
50.9  22
56.1  31
65.8  11
70.4  10
74.8  15

---

The following is a theoretical XRD peak list of Ba2BF. It was derived from a DFT-relaxed cell (GGA-PBE, Alexandria), using Cu Ka.

Atomic structure:
Unit cell a=8.141 b=8.141 c=8.141 alpha=134.73 beta=134.73 gamma=65.95
Positions (direct):
Ba (0.101, 0.625, 0.976)
Ba (0.375, 0.351, 0.476)
Ba (0.649, 0.125, 0.024)
Ba (0.875, 0.899, 0.524)
B (0.250, 0.750, 0.500)
B (0.500, 0.500, 0.000)
F (0.000, 0.000, 0.000)
F (0.750, 0.250, 0.500)

Principal peaks in the range 10 to 80 degrees two-theta, sorted by position:
2θ (°)  I (rel.)
23.9  100
26.1  16
28.5  24
39.0  32
40.7  14
44.8  18
47.8  28
49.0  11
62.1  13
73.0  9

---

The following is a theoretical XRD peak list of BaInBF6. It was derived from a DFT-relaxed cell (GGA-PBE, Alexandria), using Cu Ka.

Atomic structure:
Unit cell a=4.770 b=4.891 c=7.291 alpha=72.74 beta=74.12 gamma=87.47
Positions (direct):
Ba (0.000, 0.000, 0.000)
In (0.603, 0.679, 0.645)
B (0.238, 0.311, 0.333)
F (0.115, 0.554, 0.857)
F (0.253, 0.180, 0.530)
F (0.275, 0.613, 0.283)
F (0.457, 0.208, 0.195)
F (0.568, 0.983, 0.846)
F (0.962, 0.245, 0.314)

Principal peaks in the range 10 to 80 degrees two-theta, sorted by position:
2θ (°)  I (rel.)
13.2  23
20.3  24
25.6  41
26.3  100
26.7  39
27.8  45
28.4  38
36.8  22
37.8  31
44.8  16